The following is a simulated powder diffractogram of Ca3Ta4O12F2. It was derived from a PBE-relaxed structure, using Cu Kα.
Kinematic intensities with the Lorentz-polarization factor, no thermal factor.

Top 8 peaks for 2θ = 10–90°, low angle first:
two_theta, Rel. int.
14.51, 87.3
28.08, 39.4
29.26, 100.0
29.80, 34.0
34.07, 41.9
48.60, 31.4
49.30, 30.6
58.05, 29.9

Structural model:
Cell lengths 7.3945, 7.3945, 7.3945 Å; angles 60.89, 60.89, 60.89 degrees
Atoms (fractional coordinates):
Ca (0.0000, 0.5000, 0.5000)
Ca (0.5000, 0.0000, 0.5000)
Ca (0.5000, 0.5000, 0.0000)
Ta (0.0000, 0.0000, 0.0000)
Ta (0.0000, 0.0000, 0.5000)
Ta (0.0000, 0.5000, 0.0000)
Ta (0.5000, 0.0000, 0.0000)
O (0.0557, 0.6856, 0.6856)
O (0.0712, 0.0712, 0.6817)
O (0.0712, 0.6817, 0.0712)
O (0.3144, 0.3144, 0.9443)
O (0.3144, 0.9443, 0.3144)
O (0.3183, 0.9288, 0.9288)
O (0.6817, 0.0712, 0.0712)
O (0.6856, 0.0557, 0.6856)
O (0.6856, 0.6856, 0.0557)
O (0.9288, 0.3183, 0.9288)
O (0.9288, 0.9288, 0.3183)
O (0.9443, 0.3144, 0.3144)
F (0.3618, 0.3618, 0.3618)
F (0.6382, 0.6382, 0.6382)